No. 1
# NpAg2Cl6
Simulated X-ray powder pattern, CuKα. Input: DFT lattice parameters and positions (GGA-PBE).
Kinematic intensities with the Lorentz-polarization factor, no thermal factor.

Crystal structure
a b c (Å): 7.438 7.438 7.438
angles (deg): 55.45 55.45 55.45
Atoms (fractional coordinates):
Np1 0.000 0.000 0.000
Ag1 0.190 0.190 0.190
Ag2 0.810 0.810 0.810
Cl1 0.089 0.776 0.385
Cl2 0.224 0.615 0.911
Cl3 0.385 0.089 0.776
Cl4 0.615 0.911 0.224
Cl5 0.776 0.385 0.089
Cl6 0.911 0.224 0.615

Largest 10 diffraction maxima, in order of falling intensity, 10° ≤ 2θ ≤ 80°:
| 2θ (°) | intensity |
| --- | --- |
| 15.5 | 1000 |
| 38.7 | 424 |
| 28.0 | 412 |
| 25.7 | 335 |
| 45.4 | 260 |
| 46.8 | 236 |
| 38.4 | 220 |
| 24.0 | 175 |
| 40.1 | 156 |
| 30.2 | 148 |

No. 2
# LuTiCuHg
Simulated X-ray powder pattern, CuKα. Input: DFT lattice parameters and positions (GGA-PBE).
Kinematic intensities with the Lorentz-polarization factor, no thermal factor.

Crystal structure
a b c (Å): 4.805 4.805 4.805
angles (deg): 60.00 60.00 60.00
Atoms (fractional coordinates):
Lu1 0.000 0.000 0.000
Ti1 0.500 0.500 0.500
Cu1 0.750 0.750 0.750
Hg1 0.250 0.250 0.250

Largest 10 diffraction maxima, in order of falling intensity, 10° ≤ 2θ ≤ 80°:
| 2θ (°) | intensity |
| --- | --- |
| 37.4 | 1000 |
| 67.5 | 349 |
| 22.7 | 317 |
| 44.2 | 177 |
| 54.0 | 173 |
| 79.8 | 110 |
| 59.3 | 78 |
| 72.2 | 60 |
| 26.2 | 12 |
| 61.0 | 5 |

No. 3
# I
Simulated X-ray powder pattern, CuKα. Input: DFT lattice parameters and positions (GGA-PBE).
Kinematic intensities with the Lorentz-polarization factor, no thermal factor.

Crystal structure
a b c (Å): 5.624 5.624 9.207
angles (deg): 103.94 103.94 55.58
Atoms (fractional coordinates):
I1 0.125 0.604 0.203
I2 0.133 0.133 0.297
I3 0.396 0.875 0.797
I4 0.867 0.867 0.703

Largest 10 diffraction maxima, in order of falling intensity, 10° ≤ 2θ ≤ 80°:
| 2θ (°) | intensity |
| --- | --- |
| 20.0 | 1000 |
| 22.9 | 914 |
| 26.0 | 660 |
| 19.3 | 649 |
| 37.6 | 519 |
| 39.2 | 487 |
| 20.6 | 397 |
| 41.9 | 349 |
| 32.0 | 289 |
| 38.3 | 280 |